# Cd2In4Hg3
Simulated powder XRD pattern, a wavelength of 1.5418 Å. Input: a DFT-relaxed cell (GGA-PBE, Alexandria).

Main lines, in order of rising 2θ (15 to 90 degrees two-theta):
d = 2.818 Å, 31.76°, rel. 44; d = 2.712 Å, 33.03°, rel. 100; d = 2.575 Å, 34.84°, rel. 45; d = 2.560 Å, 35.05°, rel. 52; d = 2.392 Å, 37.60°, rel. 43; d = 1.982 Å, 45.78°, rel. 15; d = 1.761 Å, 51.93°, rel. 22; d = 1.522 Å, 60.87°, rel. 13; d = 1.512 Å, 61.33°, rel. 16; d = 1.489 Å, 62.37°, rel. 13

Structure:
Cell: 12.1849 12.1849 6.2930 Å, 98.79 98.79 30.35°
Sites, in units of the cell vectors:
1 Cd 0.0093 0.2014 0.0289
2 Cd 0.2014 0.0093 0.5289
3 Cd 0.7986 0.9907 0.4711
4 Cd 0.9907 0.7986 0.9711
5 In 0.1086 0.3244 0.8065
6 In 0.3244 0.1086 0.3065
7 In 0.3414 0.5400 0.3564
8 In 0.4600 0.6586 0.1436
9 In 0.5400 0.3414 0.8564
10 In 0.6586 0.4600 0.6436
11 In 0.6756 0.8914 0.6935
12 In 0.8914 0.6756 0.1935
13 Hg 0.1175 0.8825 0.7500
14 Hg 0.2175 0.4420 0.6044
15 Hg 0.4420 0.2175 0.1044
16 Hg 0.5580 0.7825 0.8956
17 Hg 0.7825 0.5580 0.3956
18 Hg 0.8825 0.1175 0.2500

---

# Cd7In2Hg12
Simulated powder XRD pattern, a wavelength of 1.5418 Å. Input: a DFT-relaxed cell (GGA-PBE, Alexandria).

Main lines, in order of rising 2θ (15 to 90 degrees two-theta):
d = 2.968 Å, 30.11°, rel. 18; d = 2.724 Å, 32.88°, rel. 65; d = 2.700 Å, 33.18°, rel. 100; d = 2.591 Å, 34.62°, rel. 32; d = 2.571 Å, 34.90°, rel. 19; d = 2.359 Å, 38.15°, rel. 14; d = 2.231 Å, 40.44°, rel. 18; d = 1.690 Å, 54.26°, rel. 16; d = 1.480 Å, 62.77°, rel. 15; d = 1.436 Å, 64.92°, rel. 19

Structure:
Cell: 13.7095 13.7095 3.3809 Å, 90.00 90.00 120.00°
Sites, in units of the cell vectors:
1 Cd 0.0000 0.0000 0.0000
2 Cd 0.1425 0.6830 0.0000
3 Cd 0.3170 0.4595 0.0000
4 Cd 0.4637 0.1420 0.5000
5 Cd 0.5405 0.8575 0.0000
6 Cd 0.6783 0.5363 0.5000
7 Cd 0.8580 0.3217 0.5000
8 In 0.3333 0.6667 0.5000
9 In 0.6667 0.3333 0.0000
10 Hg 0.0809 0.4323 0.0000
11 Hg 0.1120 0.8688 0.5000
12 Hg 0.1312 0.2432 0.5000
13 Hg 0.2564 0.1171 0.0000
14 Hg 0.3514 0.9191 0.0000
15 Hg 0.4302 0.3511 0.5000
16 Hg 0.5677 0.6486 0.0000
17 Hg 0.6489 0.0791 0.5000
18 Hg 0.7568 0.8880 0.5000
19 Hg 0.8607 0.7436 0.0000
20 Hg 0.8829 0.1393 0.0000
21 Hg 0.9209 0.5698 0.5000

---

# Cd4InHg8
Simulated powder XRD pattern, a wavelength of 1.5418 Å. Input: a DFT-relaxed cell (GGA-PBE, Alexandria).

Main lines, in order of rising 2θ (15 to 90 degrees two-theta):
d = 4.058 Å, 21.90°, rel. 18; d = 3.461 Å, 25.74°, rel. 23; d = 3.313 Å, 26.91°, rel. 73; d = 2.869 Å, 31.17°, rel. 95; d = 2.343 Å, 38.42°, rel. 100; d = 2.029 Å, 44.66°, rel. 65; d = 1.913 Å, 47.53°, rel. 19; d = 1.534 Å, 60.35°, rel. 32; d = 1.353 Å, 69.49°, rel. 61; d = 1.125 Å, 86.47°, rel. 25

Structure:
Cell: 8.1157 8.1157 8.1157 Å, 60.00 60.00 60.00°
Sites, in units of the cell vectors:
1 Cd 0.1003 0.1003 0.1003
2 Cd 0.1003 0.1003 0.6992
3 Cd 0.1003 0.6992 0.1003
4 Cd 0.6992 0.1003 0.1003
5 In 0.5000 0.5000 0.5000
6 Hg 0.3567 0.3567 0.3567
7 Hg 0.3567 0.3567 0.9299
8 Hg 0.3567 0.9299 0.3567
9 Hg 0.4648 0.8451 0.8451
10 Hg 0.8451 0.4648 0.8451
11 Hg 0.8451 0.8451 0.4648
12 Hg 0.8451 0.8451 0.8451
13 Hg 0.9299 0.3567 0.3567

---

# Cd5InHg2
Simulated powder XRD pattern, a wavelength of 1.5418 Å. Input: a DFT-relaxed cell (GGA-PBE, Alexandria).

Main lines, in order of rising 2θ (15 to 90 degrees two-theta):
d = 2.838 Å, 31.53°, rel. 100; d = 2.412 Å, 37.28°, rel. 64; d = 2.377 Å, 37.86°, rel. 61; d = 2.049 Å, 44.20°, rel. 20; d = 1.966 Å, 46.17°, rel. 17; d = 1.552 Å, 59.57°, rel. 32; d = 1.524 Å, 60.78°, rel. 30; d = 1.419 Å, 65.83°, rel. 12; d = 1.320 Å, 71.46°, rel. 18; d = 1.290 Å, 73.37°, rel. 8

Structure:
Cell: 5.9658 15.7303 4.0983 Å, 90.00 90.00 90.00°
Sites, in units of the cell vectors:
1 Cd 0.0000 0.0000 0.0000
2 Cd 0.0014 0.2500 0.0000
3 Cd 0.2500 0.1287 0.5000
4 Cd 0.2500 0.6287 0.5000
5 Cd 0.4986 0.7500 0.0000
6 Cd 0.5000 0.5000 0.0000
7 Cd 0.5014 0.2500 0.0000
8 Cd 0.7500 0.3713 0.5000
9 Cd 0.7500 0.8713 0.5000
10 Cd 0.9986 0.7500 0.0000
11 In 0.0000 0.5000 0.0000
12 In 0.5000 0.0000 0.0000
13 Hg 0.2469 0.8736 0.5000
14 Hg 0.2531 0.3736 0.5000
15 Hg 0.7469 0.6264 0.5000
16 Hg 0.7531 0.1264 0.5000

---

# Cd9In3Hg2
Simulated powder XRD pattern, a wavelength of 1.5418 Å. Input: a DFT-relaxed cell (GGA-PBE, Alexandria).

Main lines, in order of rising 2θ (15 to 90 degrees two-theta):
d = 2.998 Å, 29.80°, rel. 60; d = 2.895 Å, 30.88°, rel. 36; d = 2.674 Å, 33.51°, rel. 100; d = 2.566 Å, 34.97°, rel. 39; d = 2.493 Å, 36.02°, rel. 48; d = 2.398 Å, 37.51°, rel. 99; d = 2.380 Å, 37.80°, rel. 40; d = 2.330 Å, 38.65°, rel. 43; d = 2.319 Å, 38.84°, rel. 51; d = 1.534 Å, 60.35°, rel. 41

Structure:
Cell: 7.7251 7.7251 5.9365 Å, 91.75 91.75 85.48°
Sites, in units of the cell vectors:
1 Cd 0.0000 0.0000 0.0000
2 Cd 0.1108 0.6264 0.8940
3 Cd 0.2033 0.4836 0.3866
4 Cd 0.3736 0.8892 0.1060
5 Cd 0.4836 0.2033 0.3866
6 Cd 0.5164 0.7967 0.6134
7 Cd 0.6264 0.1108 0.8940
8 Cd 0.7967 0.5164 0.6134
9 Cd 0.8892 0.3736 0.1060
10 In 0.2330 0.2330 0.7902
11 In 0.5000 0.5000 0.0000
12 In 0.7670 0.7670 0.2098
13 Hg 0.1389 0.8611 0.5000
14 Hg 0.8611 0.1389 0.5000

---

# Cd3InHg12
Simulated powder XRD pattern, a wavelength of 1.5418 Å. Input: a DFT-relaxed cell (GGA-PBE, Alexandria).

Main lines, in order of rising 2θ (15 to 90 degrees two-theta):
d = 2.800 Å, 31.96°, rel. 65; d = 2.552 Å, 35.16°, rel. 100; d = 1.980 Å, 45.82°, rel. 24; d = 1.669 Å, 55.02°, rel. 7; d = 1.565 Å, 59.04°, rel. 45; d = 1.434 Å, 65.05°, rel. 17; d = 1.400 Å, 66.81°, rel. 8; d = 1.276 Å, 74.32°, rel. 11; d = 1.252 Å, 75.98°, rel. 11; d = 1.228 Å, 77.80°, rel. 10

Structure:
Cell: 5.6010 5.6010 13.3528 Å, 90.00 90.00 90.00°
Sites, in units of the cell vectors:
1 Cd 0.0000 0.0000 0.0000
2 Cd 0.0000 0.0000 0.2449
3 Cd 0.0000 0.0000 0.7551
4 In 0.0000 0.0000 0.5000
5 Hg 0.0000 0.5000 0.1225
6 Hg 0.0000 0.5000 0.3707
7 Hg 0.0000 0.5000 0.6293
8 Hg 0.0000 0.5000 0.8775
9 Hg 0.5000 0.0000 0.1225
10 Hg 0.5000 0.0000 0.3707
11 Hg 0.5000 0.0000 0.6293
12 Hg 0.5000 0.0000 0.8775
13 Hg 0.5000 0.5000 0.0000
14 Hg 0.5000 0.5000 0.2487
15 Hg 0.5000 0.5000 0.5000
16 Hg 0.5000 0.5000 0.7513

---

# Cd10In6Hg
Simulated powder XRD pattern, a wavelength of 1.5418 Å. Input: a DFT-relaxed cell (GGA-PBE, Alexandria).

Main lines, in order of rising 2θ (15 to 90 degrees two-theta):
d = 3.316 Å, 26.88°, rel. 14; d = 2.690 Å, 33.31°, rel. 84; d = 2.655 Å, 33.76°, rel. 76; d = 2.510 Å, 35.78°, rel. 100; d = 2.073 Å, 43.67°, rel. 18; d = 1.824 Å, 50.01°, rel. 23; d = 1.748 Å, 52.35°, rel. 15; d = 1.504 Å, 61.69°, rel. 17; d = 1.481 Å, 62.73°, rel. 11; d = 1.460 Å, 63.75°, rel. 10

Structure:
Cell: 9.1969 9.1969 5.9897 Å, 90.00 90.00 120.00°
Sites, in units of the cell vectors:
1 Cd 0.0000 0.2600 0.3013
2 Cd 0.0000 0.7400 0.6987
3 Cd 0.2600 0.0000 0.3013
4 Cd 0.2600 0.2600 0.6987
5 Cd 0.3333 0.6667 0.0000
6 Cd 0.3333 0.6667 0.5000
7 Cd 0.6667 0.3333 0.0000
8 Cd 0.6667 0.3333 0.5000
9 Cd 0.7400 0.0000 0.6987
10 Cd 0.7400 0.7400 0.3013
11 In 0.0000 0.3913 0.7752
12 In 0.0000 0.6087 0.2248
13 In 0.3913 0.0000 0.7752
14 In 0.3913 0.3913 0.2248
15 In 0.6087 0.0000 0.2248
16 In 0.6087 0.6087 0.7752
17 Hg 0.0000 0.0000 0.0000

---

# CdIn4Hg8
Simulated powder XRD pattern, a wavelength of 1.5418 Å. Input: a DFT-relaxed cell (GGA-PBE, Alexandria).

Main lines, in order of rising 2θ (15 to 90 degrees two-theta):
d = 2.859 Å, 31.29°, rel. 32; d = 2.777 Å, 32.24°, rel. 42; d = 2.752 Å, 32.53°, rel. 100; d = 2.735 Å, 32.75°, rel. 23; d = 2.660 Å, 33.70°, rel. 58; d = 2.561 Å, 35.03°, rel. 61; d = 2.436 Å, 36.91°, rel. 31; d = 2.259 Å, 39.91°, rel. 36; d = 1.760 Å, 51.95°, rel. 26; d = 1.467 Å, 63.38°, rel. 25

Structure:
Cell: 8.8375 8.8375 13.7932 Å, 123.23 123.23 22.98°
Sites, in units of the cell vectors:
1 Cd 0.0000 0.0000 0.0000
2 In 0.2127 0.2127 0.6340
3 In 0.3375 0.3375 0.3509
4 In 0.7919 0.7919 0.1017
5 In 0.8848 0.8848 0.5777
6 Hg 0.0057 0.0057 0.3929
7 Hg 0.1251 0.1251 0.8927
8 Hg 0.4286 0.4286 0.7882
9 Hg 0.4651 0.4651 0.1632
10 Hg 0.5632 0.5632 0.6472
11 Hg 0.6574 0.6574 0.1821
12 Hg 0.6713 0.6713 0.4124
13 Hg 0.7871 0.7871 0.8723

---

# Cd9In4Hg11
Simulated powder XRD pattern, a wavelength of 1.5418 Å. Input: a DFT-relaxed cell (GGA-PBE, Alexandria).

Main lines, in order of rising 2θ (15 to 90 degrees two-theta):
d = 2.877 Å, 31.09°, rel. 47; d = 2.857 Å, 31.30°, rel. 57; d = 2.811 Å, 31.83°, rel. 34; d = 2.733 Å, 32.77°, rel. 83; d = 2.700 Å, 33.18°, rel. 41; d = 2.627 Å, 34.13°, rel. 100; d = 2.603 Å, 34.45°, rel. 71; d = 2.472 Å, 36.34°, rel. 40; d = 2.459 Å, 36.54°, rel. 46; d = 2.321 Å, 38.80°, rel. 69

Structure:
Cell: 3.3886 13.2981 14.4597 Å, 110.34 93.08 95.58°
Sites, in units of the cell vectors:
1 Cd 0.0000 0.0000 0.0000
2 Cd 0.0684 0.6931 0.4963
3 Cd 0.2609 0.0989 0.6488
4 Cd 0.3171 0.5045 0.7016
5 Cd 0.4877 0.3591 0.9116
6 Cd 0.5123 0.6409 0.0884
7 Cd 0.6829 0.4955 0.2984
8 Cd 0.7391 0.9011 0.3512
9 Cd 0.9316 0.3069 0.5037
10 In 0.3531 0.9315 0.7750
11 In 0.4303 0.7782 0.9190
12 In 0.5697 0.2218 0.0810
13 In 0.6469 0.0685 0.2250
14 Hg 0.0661 0.8502 0.1375
15 Hg 0.0972 0.4383 0.1065
16 Hg 0.1555 0.6957 0.2894
17 Hg 0.1695 0.2907 0.2943
18 Hg 0.3377 0.1041 0.4408
19 Hg 0.5000 0.5000 0.5000
20 Hg 0.6623 0.8959 0.5592
21 Hg 0.8305 0.7093 0.7057
22 Hg 0.8445 0.3043 0.7106
23 Hg 0.9028 0.5617 0.8935
24 Hg 0.9339 0.1498 0.8625

---

# Cd5In3Hg16
Simulated powder XRD pattern, a wavelength of 1.5418 Å. Input: a DFT-relaxed cell (GGA-PBE, Alexandria).

Main lines, in order of rising 2θ (15 to 90 degrees two-theta):
d = 3.342 Å, 26.68°, rel. 29; d = 3.283 Å, 27.16°, rel. 22; d = 2.987 Å, 29.91°, rel. 34; d = 2.940 Å, 30.41°, rel. 22; d = 2.835 Å, 31.56°, rel. 100; d = 2.825 Å, 31.68°, rel. 20; d = 2.633 Å, 34.04°, rel. 56; d = 2.232 Å, 40.41°, rel. 22; d = 1.796 Å, 50.83°, rel. 19; d = 1.404 Å, 66.62°, rel. 25

Structure:
Cell: 7.7527 7.7527 12.4749 Å, 90.07 90.07 61.39°
Sites, in units of the cell vectors:
1 Cd 0.0000 0.0000 0.0000
2 Cd 0.0524 0.6713 0.8252
3 Cd 0.3771 0.3771 0.3473
4 Cd 0.5609 0.5609 0.5133
5 Cd 0.6713 0.0524 0.8252
6 In 0.1986 0.1986 0.8379
7 In 0.5078 0.9126 0.3170
8 In 0.9126 0.5078 0.3170
9 Hg 0.0066 0.0066 0.6578
10 Hg 0.1012 0.6910 0.1724
11 Hg 0.1605 0.1605 0.1628
12 Hg 0.1909 0.8174 0.3953
13 Hg 0.2110 0.2110 0.5083
14 Hg 0.3574 0.3574 0.0104
15 Hg 0.3844 0.7539 0.8898
16 Hg 0.4079 0.4079 0.6813
17 Hg 0.4842 0.8894 0.6676
18 Hg 0.5638 0.5638 0.1556
19 Hg 0.6910 0.1012 0.1724
20 Hg 0.7476 0.7476 0.0125
21 Hg 0.7539 0.3844 0.8898
22 Hg 0.8174 0.1909 0.3953
23 Hg 0.8225 0.8225 0.5044
24 Hg 0.8894 0.4842 0.6676

---

# Cd2In5Hg5
Simulated powder XRD pattern, a wavelength of 1.5418 Å. Input: a DFT-relaxed cell (GGA-PBE, Alexandria).

Main lines, in order of rising 2θ (15 to 90 degrees two-theta):
d = 4.108 Å, 21.63°, rel. 15; d = 3.118 Å, 28.63°, rel. 40; d = 2.873 Å, 31.13°, rel. 51; d = 2.715 Å, 33.00°, rel. 100; d = 2.481 Å, 36.21°, rel. 62; d = 2.390 Å, 37.64°, rel. 43; d = 2.245 Å, 40.16°, rel. 12; d = 2.190 Å, 41.21°, rel. 14; d = 1.897 Å, 47.97°, rel. 20; d = 1.435 Å, 64.98°, rel. 19

Structure:
Cell: 8.5866 8.5866 8.8164 Å, 111.83 111.83 32.32°
Sites, in units of the cell vectors:
1 Cd 0.1347 0.1347 0.2483
2 Cd 0.8653 0.8653 0.7517
3 In 0.0000 0.0000 0.5000
4 In 0.0849 0.0849 0.8787
5 In 0.2264 0.2264 0.6531
6 In 0.7736 0.7736 0.3469
7 In 0.9151 0.9151 0.1213
8 Hg 0.3004 0.3004 0.1355
9 Hg 0.4040 0.4040 0.5701
10 Hg 0.5000 0.5000 0.0000
11 Hg 0.5960 0.5960 0.4299
12 Hg 0.6996 0.6996 0.8645